Starting from a structure optimized by DFT (GGA-PBE), the X-ray powder pattern of SmAsRu2C was calculated for copper Kα.
No peak broadening, texture or thermal motion is included.

Peak list (6 most intense, 5 to 70 degrees two-theta, low angle first)
- 33.06°, d 2.710, I 63
- 34.32°, d 2.613, I 100
- 34.44°, d 2.604, I 42
- 35.32°, d 2.541, I 55
- 44.36°, d 2.042, I 26
- 45.83°, d 1.980, I 35

Atomic structure:
Cell: 3.9600 11.1461 7.3186 Å, 90.00 90.00 90.00°
Space group Cmcm (No. 63)
Asymmetric unit:
Sm 0.0000 0.0459 0.2500 (multiplicity 4)
As 0.0000 0.2304 0.7500 (multiplicity 4)
Ru 0.0000 0.3370 0.0535 (multiplicity 8)
C 0.0000 0.5000 0.0000 (multiplicity 4)

Starting from a structure optimized by DFT (GGA-PBE), the X-ray powder pattern of Sm4AsCS2 was calculated for copper Kα.
No peak broadening, texture or thermal motion is included.

Peak list (6 most intense, 5 to 70 degrees two-theta, low angle first)
- 27.18°, d 3.281, I 92
- 31.41°, d 2.848, I 42
- 31.53°, d 2.838, I 100
- 45.14°, d 2.009, I 98
- 53.53°, d 1.712, I 30
- 56.07°, d 1.640, I 32

Atomic structure:
Cell: 5.6755 5.6755 11.3904 Å, 90.00 90.00 90.00°
Space group I-4m2 (No. 119)
Asymmetric unit:
Sm 0.0000 0.0000 0.2236 (multiplicity 4)
Sm 0.0000 0.5000 0.5014 (multiplicity 4)
As 0.0000 0.5000 0.2500 (multiplicity 2)
C 0.0000 0.0000 0.0000 (multiplicity 2)
S 0.0000 0.0000 0.5000 (multiplicity 2)
S 0.0000 0.5000 0.7500 (multiplicity 2)

Starting from a structure optimized by DFT (GGA-PBE), the X-ray powder pattern of Y8As3CS3 was calculated for copper Kα.
No peak broadening, texture or thermal motion is included.

Peak list (6 most intense, 5 to 70 degrees two-theta, low angle first)
- 13.65°, d 6.489, I 12
- 27.49°, d 3.245, I 18
- 31.78°, d 2.816, I 100
- 45.41°, d 1.997, I 33
- 45.71°, d 1.985, I 34
- 56.75°, d 1.622, I 16

Atomic structure:
Cell: 7.9392 7.9392 19.6320 Å, 90.00 90.00 120.00°
Space group R-3m (No. 166, hexagonal axes)
Asymmetric unit:
Y 0.0000 0.0000 0.2494 (multiplicity 6)
Y 0.0285 0.5143 0.2416 (multiplicity 18)
As 0.0000 0.5000 0.0000 (multiplicity 9)
C 0.0000 0.0000 0.5000 (multiplicity 3)
S 0.0000 0.5000 0.5000 (multiplicity 9)